(1)
CsAgSb2Br8: simulated powder diffractogram (copper Kα), based on a PBE-relaxed structure.

Atomic structure:
a = 5.8731 Å, b = 9.0123 Å, c = 9.7750 Å
α = 106.20°, β = 90.93°, γ = 108.11°
Space group P-1 (No. 2)
Asymmetric unit:
Cs1 0.0000 0.0000 0.0000 x1
Ag1 0.5000 0.0000 0.5000 x1
Sb1 0.2584 0.5444 0.6980 x2
Br1 0.1001 0.2332 0.6806 x2
Br2 0.1817 0.4334 0.3295 x2
Br3 0.3206 0.6529 0.9723 x2
Br4 0.4556 0.9102 0.7242 x2

Most intense lines, 2θ = 10–90°, low angle first:
2θ/deg  intensity  (hkl)
18.88  27  0 1 -2
19.47  75  -1 1 1
21.74  31  0 2 0
22.00  24  1 1 -1
25.75  24  1 1 -2
26.12  91  -1 2 1
28.71  54  0 0 3
30.45  100  2 -1 0
31.33  71  0 3 -1
42.86  29  0 3 -4
43.17  30  0 3 2
52.90  24  2 2 -4



(2)
CsAg2SbBr6: simulated powder diffractogram (copper Kα), based on a PBE-relaxed structure.

Atomic structure:
a = 7.6117 Å, b = 7.6144 Å, c = 8.1508 Å
α = 62.18°, β = 62.31°, γ = 60.04°
Space group P1 (No. 1)
Asymmetric unit:
Cs1 0.0000 0.0000 0.0000 x1
Ag1 0.2561 0.2583 0.2268 x1
Ag2 0.7978 0.7992 0.6042 x1
Sb1 0.4545 0.4550 0.6356 x1
Br1 0.0516 0.4852 0.8869 x1
Br2 0.1904 0.8722 0.4142 x1
Br3 0.4857 0.5776 0.8857 x1
Br4 0.5218 0.1923 0.4133 x1
Br5 0.5769 0.0513 0.8862 x1
Br6 0.8708 0.5228 0.4141 x1

Most intense lines, 2θ = 10–90°, low angle first:
2θ/deg  intensity  (hkl)
15.96  57  1 0 1
21.89  57  1 0 -1
23.37  54  1 -1 0
25.48  30  0 1 2
26.77  87  1 -1 1
27.39  28  2 2 1
32.23  72  0 2 2
34.84  56  2 0 -1
35.18  100  1 2 3
41.06  72  0 3 1
46.23  37  1 2 -2
47.78  34  4 2 2



(3)
CsScAgBr5: simulated powder diffractogram (copper Kα), based on a PBE-relaxed structure.

Atomic structure:
a = 9.2050 Å, b = 12.9641 Å, c = 10.3550 Å
α = 90.00°, β = 109.37°, γ = 90.00°
Space group C2/c (No. 15)
Asymmetric unit:
Cs1 0.0000 0.1571 0.2500 x4
Sc1 0.0000 0.5000 0.0000 x4
Ag1 0.0000 0.1856 0.7500 x4
Br1 0.0000 0.4416 0.2500 x4
Br2 0.0940 0.3099 0.5822 x8
Br3 0.2074 0.0627 0.9414 x8

Most intense lines, 2θ = 10–90°, low angle first:
2θ/deg  intensity  (hkl)
18.93  91  1 1 -2
20.45  74  2 0 0
22.44  53  2 0 -2
22.99  40  1 3 0
25.99  100  1 3 1
27.21  94  1 3 -2
31.55  51  1 3 2
31.79  52  2 0 2
35.73  38  2 0 -4
36.82  60  3 3 -2
37.39  55  3 3 0
45.80  48  4 0 -4



(4)
CsSmAgBr6: simulated powder diffractogram (copper Kα), based on a PBE-relaxed structure.

Atomic structure:
a = 7.2274 Å, b = 7.2294 Å, c = 8.1075 Å
α = 92.84°, β = 92.77°, γ = 114.76°
Space group P1 (No. 1)
Asymmetric unit:
Cs1 0.0000 0.0000 0.0000 x1
Sm1 0.3388 0.6603 0.5000 x1
Ag1 0.6866 0.3123 0.4998 x1
Br1 0.0233 0.3504 0.6732 x1
Br2 0.0312 0.6034 0.2559 x1
Br3 0.3963 0.9682 0.7445 x1
Br4 0.4196 0.3611 0.2930 x1
Br5 0.6381 0.5796 0.7068 x1
Br6 0.6476 0.9757 0.3257 x1

Most intense lines, 2θ = 10–90°, low angle first:
2θ/deg  intensity  (hkl)
10.96  85  0 0 1
16.77  71  0 1 -1
18.09  64  0 1 1
18.25  70  -1 1 1
24.53  44  1 1 -1
27.57  57  2 -1 1
30.47  62  1 1 -2
32.64  31  1 -2 2
34.08  100  -1 2 2
36.25  29  1 2 -1
41.03  28  1 -2 3
41.39  54  0 3 0



(5)
Cs2AgSnBr6: simulated powder diffractogram (copper Kα), based on a PBE-relaxed structure.

Atomic structure:
a = 7.9618 Å, b = 7.9618 Å, c = 11.3177 Å
α = 90.00°, β = 90.00°, γ = 90.00°
Space group I4/mmm (No. 139)
Asymmetric unit:
Cs1 0.0000 0.5000 0.2500 x4
Ag1 0.0000 0.0000 0.0000 x2
Sn1 0.0000 0.0000 0.5000 x2
Br1 0.0000 0.0000 0.2510 x4
Br2 0.2500 0.2500 0.0000 x8

Most intense lines, 2θ = 10–90°, low angle first:
2θ/deg  intensity  (hkl)
15.71  17  1 1 0
22.29  81  2 0 0
27.39  82  2 0 2
31.62  51  0 0 4
31.79  100  2 2 0
39.16  25  3 1 2
45.45  73  2 2 4
45.57  36  4 0 0
53.99  24  4 2 2
56.53  38  4 0 4
75.48  32  6 2 0
84.18  25  6 2 4



(6)
CsAgSnBr4: simulated powder diffractogram (copper Kα), based on a PBE-relaxed structure.

Atomic structure:
a = 7.0290 Å, b = 7.7931 Å, c = 10.4846 Å
α = 90.00°, β = 109.18°, γ = 90.00°
Space group P2_1/m (No. 11)
Asymmetric unit:
Cs1 0.2014 0.2500 0.4567 x2
Ag1 0.0302 0.2500 0.8240 x2
Sn1 0.3090 0.7500 0.9902 x2
Br1 0.1132 0.2500 0.0898 x2
Br2 0.2412 0.7500 0.4117 x2
Br3 0.3131 0.5073 0.7998 x4

Most intense lines, 2θ = 10–90°, low angle first:
2θ/deg  intensity  (hkl)
18.50  30  1 0 -2
21.65  29  1 1 1
22.82  58  0 2 0
26.54  75  1 2 -1
28.36  53  1 1 -3
29.19  100  0 2 2
29.39  54  2 1 -2
34.08  29  1 0 3
35.62  52  2 2 -2
44.79  26  1 1 -5
46.63  38  0 4 0
50.71  27  2 2 3



(7)
Cs2SrAg2Br6: simulated powder diffractogram (copper Kα), based on a PBE-relaxed structure.

Atomic structure:
a = 14.6271 Å, b = 8.2826 Å, c = 8.4610 Å
α = 90.00°, β = 119.54°, γ = 90.00°
Space group C2/m (No. 12)
Asymmetric unit:
Cs1 0.2335 0.0000 0.2009 x4
Sr1 0.0000 0.0000 0.5000 x2
Ag1 0.0584 0.5000 0.2069 x4
Br1 0.0531 0.2443 0.8052 x8
Br2 0.2363 0.0000 0.6374 x4

Most intense lines, 2θ = 10–90°, low angle first:
2θ/deg  intensity  (hkl)
21.22  58  3 1 -1
21.46  26  0 2 0
24.15  100  0 0 2
25.67  35  2 2 0
28.05  27  4 0 0
30.27  54  2 2 -2
31.31  26  2 2 1
37.00  21  6 0 -2
41.08  24  3 1 2
42.17  21  4 2 1
43.21  26  6 2 -2
43.72  26  0 4 0



(8)
Cs2TbAg2Br6: simulated powder diffractogram (copper Kα), based on a PBE-relaxed structure.

Atomic structure:
a = 14.0588 Å, b = 8.1801 Å, c = 9.1693 Å
α = 90.00°, β = 122.09°, γ = 90.00°
Space group C2/m (No. 12)
Asymmetric unit:
Cs1 0.2127 0.0000 0.1833 x4
Tb1 0.0000 0.0000 0.5000 x2
Ag1 0.0470 0.5000 0.1739 x4
Br1 0.0553 0.2359 0.7600 x8
Br2 0.2249 0.0000 0.5877 x4

Most intense lines, 2θ = 10–90°, low angle first:
2θ/deg  intensity  (hkl)
14.58  30  1 1 -1
19.86  52  1 1 1
21.73  45  0 2 0
21.86  100  3 1 -1
22.72  89  1 1 -2
25.44  33  2 2 -1
29.40  76  2 2 -2
30.01  30  4 0 0
36.85  35  5 1 -3
38.72  33  1 3 -2
41.74  37  3 1 2
44.29  36  0 4 0



(9)
Cs2TbAgBr6: simulated powder diffractogram (copper Kα), based on a PBE-relaxed structure.

Atomic structure:
a = 8.0473 Å, b = 11.4686 Å, c = 8.0480 Å
α = 90.00°, β = 90.00°, γ = 90.00°
Space group Pmmn (No. 59, origin choice 2)
Asymmetric unit:
Cs1 0.2500 0.0002 0.2494 x4
Tb1 0.2500 0.2500 0.7505 x2
Ag1 0.2500 0.7500 0.7492 x2
Br1 0.0028 0.2500 0.5034 x4
Br2 0.0029 0.2500 0.9977 x4
Br3 0.2500 0.0049 0.7507 x4

Most intense lines, 2θ = 10–90°, low angle first:
2θ/deg  intensity  (hkl)
15.57  16  1 0 1
22.03  93  2 0 0
27.07  66  2 2 0
31.20  51  0 4 0
31.44  100  2 0 2
38.71  29  3 2 1
44.88  73  2 4 2
45.06  36  4 0 0
53.36  19  4 2 2
55.82  38  4 4 0
74.05  16  2 8 2
83.03  24  6 4 2



(10)
CsTcAg2Br8: simulated powder diffractogram (copper Kα), based on a PBE-relaxed structure.

Atomic structure:
a = 6.7643 Å, b = 7.1823 Å, c = 9.1757 Å
α = 77.09°, β = 82.99°, γ = 88.88°
Space group P-1 (No. 2)
Asymmetric unit:
Cs1 0.0000 0.0000 0.0000 x1
Tc1 0.0000 0.5000 0.5000 x1
Ag1 0.4392 0.4979 0.2065 x2
Br1 0.1336 0.5054 0.7471 x2
Br2 0.2471 0.7582 0.3607 x2
Br3 0.2512 0.2484 0.4525 x2
Br4 0.4916 0.2262 0.0450 x2

Most intense lines, 2θ = 10–90°, low angle first:
2θ/deg  intensity  (hkl)
12.65  99  0 1 0
14.26  33  0 1 1
15.56  62  1 0 1
18.70  36  1 1 1
20.22  32  -1 1 1
22.64  32  1 0 2
26.05  55  0 1 -2
27.24  100  2 0 1
28.72  32  0 2 2
32.70  54  -1 2 2
33.26  40  2 1 -1
52.26  33  0 4 0



(11)
Cu4AgBr7: simulated powder diffractogram (copper Kα), based on a PBE-relaxed structure.

Atomic structure:
a = 17.0010 Å, b = 10.1221 Å, c = 7.8416 Å
α = 90.00°, β = 90.00°, γ = 90.00°
Space group Cmcm (No. 63)
Asymmetric unit:
Cu1 0.1146 0.1623 0.2500 x8
Cu2 0.1932 0.5000 0.0000 x8
Ag1 0.0000 0.2581 0.7500 x4
Br1 0.0000 0.0214 0.2500 x4
Br2 0.1157 0.2998 0.5029 x16
Br3 0.2216 0.0007 0.7500 x8

Most intense lines, 2θ = 10–90°, low angle first:
2θ/deg  intensity  (hkl)
20.42  85  2 2 0
21.24  37  3 1 1
24.92  84  1 1 2
27.40  70  4 2 0
29.07  33  3 1 2
31.03  63  4 0 2
35.48  30  0 4 0
44.32  100  5 3 2
46.32  56  0 0 4
47.84  37  4 4 2
51.08  34  1 5 2
54.67  36  4 2 4



(12)
CuAg2Br5: simulated powder diffractogram (copper Kα), based on a PBE-relaxed structure.

Atomic structure:
a = 5.5874 Å, b = 13.2759 Å, c = 12.4832 Å
α = 90.00°, β = 90.00°, γ = 90.00°
Space group Cmcm (No. 63)
Asymmetric unit:
Cu1 0.0000 0.2162 0.2500 x4
Ag1 0.0000 0.1387 0.5849 x8
Br1 0.0000 0.0776 0.1177 x8
Br2 0.0000 0.2648 0.7500 x4
Br3 0.0000 0.3447 0.1026 x8

Most intense lines, 2θ = 10–90°, low angle first:
2θ/deg  intensity  (hkl)
13.34  38  0 2 0
17.22  78  1 1 0
25.26  67  0 2 3
30.51  32  0 4 2
32.04  100  2 0 0
34.57  48  0 4 3
39.64  35  0 4 4
41.23  36  2 2 3
43.52  36  0 0 6
47.84  49  2 4 3
51.85  35  2 4 4
55.02  29  2 0 6



(13)
Cu2Ag2Br5: simulated powder diffractogram (copper Kα), based on a PBE-relaxed structure.

Atomic structure:
a = 4.0944 Å, b = 4.0944 Å, c = 51.7000 Å
α = 90.00°, β = 90.00°, γ = 120.00°
Space group R3m (No. 160, hexagonal axes)
Asymmetric unit:
Cu1 0.0000 0.0000 0.0000 x3
Cu2 0.0000 0.0000 0.1791 x3
Ag1 0.0000 0.0000 0.4039 x3
Ag2 0.0000 0.0000 0.5895 x3
Br1 0.0000 0.0000 0.0932 x3
Br2 0.0000 0.0000 0.2261 x3
Br3 0.0000 0.0000 0.3505 x3
Br4 0.0000 0.0000 0.4972 x3
Br5 0.0000 0.0000 0.9540 x3

Most intense lines, 2θ = 10–90°, low angle first:
2θ/deg  intensity  (hkl)
20.62  52  0 0 12
25.17  47  1 0 1
25.35  29  0 1 2
26.58  56  0 1 5
28.72  46  0 1 8
30.57  40  1 0 10
39.02  25  0 1 17
43.32  24  0 1 20
44.24  100  1 1 0
46.35  64  1 0 22
49.28  30  1 1 12
82.94  23  2 1 22